Starting from a cell relaxed with PBE, the X-ray diffraction stick pattern of SrPAu was simulated for Cu Kα (λ = 1.5418 Å).
Neutral-atom scattering factors, no anomalous dispersion.

Principal peaks in the range 10° ≤ 2θ ≤ 90°, by angle:
- 20.81°, intensity 22.2
- 25.73°, intensity 82.7
- 31.58°, intensity 100.0
- 39.61°, intensity 28.1
- 41.28°, intensity 58.7
- 52.88°, intensity 23.2
- 60.62°, intensity 37.8
- 69.21°, intensity 20.8

Cell lengths 4.3740, 4.3740, 8.5377 Å; angles 90.00, 90.00, 120.00 degrees
Space group P6_3/mmc (No. 194)
Inequivalent atoms, fractional coordinates:
Sr: 0.0000 0.0000 0.0000 x2
P: 0.3333 0.6667 0.2500 x2
Au: 0.3333 0.6667 0.7500 x2